No. 1
Np2NbCoN5: computed powder diffractogram (Cu Ka), based on a structure optimized by DFT (PBE).
Kinematic intensities with the Lorentz-polarization factor, no thermal factor.

Crystal structure
abc: 3.190 12.744 10.053
angles: 90.00 90.00 90.00
Space group Cmc2_1 (No. 36)
One atom of each set of equivalent atoms:
Np (0.000, 0.105, 0.000) (multiplicity 4)
Np (0.000, 0.143, 0.624) (multiplicity 4)
Nb (0.000, 0.198, 0.326) (multiplicity 4)
Co (0.000, 0.476, 0.773) (multiplicity 4)
N (0.000, 0.047, 0.385) (multiplicity 4)
N (0.000, 0.283, 0.976) (multiplicity 4)
N (0.000, 0.323, 0.681) (multiplicity 4)
N (0.000, 0.368, 0.313) (multiplicity 4)
N (0.000, 0.486, 0.091) (multiplicity 4)

The 10 most intense peaks (10 to 90 degrees two-theta), by angle:
| d_spacing | I/Imax |
| --- | --- |
| 5.027 | 24 |
| 3.186 | 28 |
| 3.095 | 39 |
| 3.037 | 23 |
| 2.966 | 100 |
| 2.691 | 40 |
| 2.635 | 45 |
| 2.551 | 51 |
| 2.473 | 22 |
| 2.274 | 85 |



No. 2
SrNb2CoN4: computed powder diffractogram (Cu Ka), based on a structure optimized by DFT (PBE).
Kinematic intensities with the Lorentz-polarization factor, no thermal factor.

Crystal structure
abc: 3.191 10.931 10.920
angles: 90.00 90.00 90.00
Space group Cmcm (No. 63)
One atom of each set of equivalent atoms:
Sr (0.000, 0.105, 0.250) (multiplicity 4)
Nb (0.000, 0.368, 0.053) (multiplicity 8)
Co (0.000, 0.162, 0.750) (multiplicity 4)
N (0.000, 0.000, 0.000) (multiplicity 4)
N (0.000, 0.267, 0.609) (multiplicity 8)
N (0.000, 0.428, 0.250) (multiplicity 4)

The 10 most intense peaks (10 to 90 degrees two-theta), by angle:
| d_spacing | I/Imax |
| --- | --- |
| 3.030 | 66 |
| 2.732 | 93 |
| 2.671 | 100 |
| 2.344 | 60 |
| 2.197 | 96 |
| 2.028 | 20 |
| 1.778 | 22 |
| 1.616 | 52 |
| 1.595 | 23 |
| 1.378 | 22 |



No. 3
CoNi5N4: computed powder diffractogram (Cu Ka), based on a structure optimized by DFT (PBE).
Kinematic intensities with the Lorentz-polarization factor, no thermal factor.

Crystal structure
abc: 5.753 9.010 3.945
angles: 90.00 90.00 90.00
Space group Pmmn (No. 59, origin choice 2)
One atom of each set of equivalent atoms:
Co (0.250, 0.250, 0.207) (multiplicity 2)
Ni (0.034, 0.594, 0.204) (multiplicity 8)
Ni (0.250, 0.750, 0.700) (multiplicity 2)
N (0.024, 0.250, 0.520) (multiplicity 4)
N (0.250, 0.054, 0.040) (multiplicity 4)

The 10 most intense peaks (10 to 90 degrees two-theta), by angle:
| d_spacing | I/Imax |
| --- | --- |
| 2.424 | 24 |
| 2.390 | 100 |
| 2.251 | 83 |
| 1.973 | 17 |
| 1.773 | 23 |
| 1.530 | 17 |
| 1.502 | 13 |
| 1.319 | 14 |
| 1.232 | 12 |
| 1.126 | 12 |



No. 4
Sr2CoNiN: computed powder diffractogram (Cu Ka), based on a structure optimized by DFT (PBE).
Kinematic intensities with the Lorentz-polarization factor, no thermal factor.

Crystal structure
abc: 5.355 5.355 3.509
angles: 90.00 90.00 90.00
Space group P4/mmm (No. 123)
One atom of each set of equivalent atoms:
Sr (0.000, 0.500, 0.000) (multiplicity 2)
Co (0.000, 0.000, 0.500) (multiplicity 1)
Ni (0.500, 0.500, 0.500) (multiplicity 1)
N (0.000, 0.000, 0.000) (multiplicity 1)

The 10 most intense peaks (10 to 90 degrees two-theta), by angle:
| d_spacing | I/Imax |
| --- | --- |
| 2.678 | 67 |
| 2.574 | 100 |
| 1.893 | 23 |
| 1.754 | 9 |
| 1.525 | 39 |
| 1.467 | 19 |
| 1.339 | 7 |
| 1.287 | 12 |
| 1.197 | 10 |
| 1.188 | 8 |



No. 5
Pu2NpCoN4: computed powder diffractogram (Cu Ka), based on a structure optimized by DFT (PBE).
Kinematic intensities with the Lorentz-polarization factor, no thermal factor.

Crystal structure
abc: 3.355 11.104 11.415
angles: 90.00 90.00 90.00
Space group Cmcm (No. 63)
One atom of each set of equivalent atoms:
Pu (0.000, 0.131, 0.058) (multiplicity 8)
Np (0.000, 0.391, 0.250) (multiplicity 4)
Co (0.000, 0.344, 0.750) (multiplicity 4)
N (0.000, 0.045, 0.250) (multiplicity 4)
N (0.000, 0.224, 0.624) (multiplicity 8)
N (0.000, 0.500, 0.000) (multiplicity 4)

The 10 most intense peaks (10 to 90 degrees two-theta), by angle:
| d_spacing | I/Imax |
| --- | --- |
| 3.139 | 100 |
| 3.091 | 24 |
| 2.799 | 84 |
| 2.776 | 52 |
| 2.429 | 33 |
| 2.279 | 57 |
| 1.861 | 29 |
| 1.761 | 26 |
| 1.681 | 23 |
| 1.665 | 32 |



No. 6
CoPN: computed powder diffractogram (Cu Ka), based on a structure optimized by DFT (PBE).
Kinematic intensities with the Lorentz-polarization factor, no thermal factor.

Crystal structure
abc: 5.015 5.359 4.505
angles: 90.00 90.00 90.00
Space group Pca2_1 (No. 29)
One atom of each set of equivalent atoms:
Co (0.097, 0.033, 0.000) (multiplicity 4)
P (0.064, 0.318, 0.451) (multiplicity 4)
N (0.125, 0.422, 0.092) (multiplicity 4)

The 10 most intense peaks (10 to 90 degrees two-theta), by angle:
| d_spacing | I/Imax |
| --- | --- |
| 5.359 | 100 |
| 3.662 | 40 |
| 2.679 | 30 |
| 2.253 | 78 |
| 2.191 | 43 |
| 2.093 | 38 |
| 2.077 | 31 |
| 2.028 | 86 |
| 1.786 | 26 |
| 1.696 | 75 |